Starting from a PBE+U-relaxed structure, the PXRD pattern of FeP2O6 was simulated for CuKα.
Intensities are scaled so that the largest is 100.

Peak list (6 most intense, 2θ = 10–80°, by angle)
- d 6.280, 2θ = 14.10°, I = 46, hkl 1 1 -1
- d 4.312, 2θ = 20.60°, I = 40, hkl 1 1 -2
- d 3.456, 2θ = 25.78°, I = 26, hkl 3 1 -2
- d 3.285, 2θ = 27.15°, I = 35, hkl 3 1 0
- d 3.064, 2θ = 29.15°, I = 100, hkl 0 2 2
- d 2.671, 2θ = 33.56°, I = 24, hkl 4 0 0

Structural model:
a = 12.129 Å, b = 8.511 Å, c = 10.026 Å
α = 90.00°, β = 118.27°, γ = 90.00°
Space group C2/c (No. 15)
One atom of each set of equivalent atoms:
Fe 0.000 0.051 0.250 x4
Fe 0.250 0.250 0.500 x4
P 0.009 0.265 0.975 x8
P 0.192 0.494 0.194 x8
O 0.037 0.126 0.908 x8
O 0.046 0.239 0.417 x8
O 0.081 0.383 0.658 x8
O 0.135 0.368 0.058 x8
O 0.204 0.077 0.319 x8
O 0.222 0.418 0.342 x8

Starting from a PBE+U-relaxed structure, the PXRD pattern of SrV6O11 was simulated for CuKα.
Intensities are scaled so that the largest is 100.

Peak list (6 most intense, 2θ = 10–80°, by angle)
- d 2.916, 2θ = 30.65°, I = 47, hkl 1 1 0
- d 2.757, 2θ = 32.47°, I = 93, hkl 1 0 4
- d 2.666, 2θ = 33.61°, I = 100, hkl 1 1 2
- d 2.358, 2θ = 38.17°, I = 56, hkl 2 0 2
- d 2.189, 2θ = 41.24°, I = 47, hkl 2 0 3
- d 1.656, 2θ = 55.48°, I = 72, hkl 2 0 6

Structural model:
a = 5.8330 Å, b = 5.8330 Å, c = 13.1623 Å
α = 90.00°, β = 90.00°, γ = 120.00°
Space group P6_3mc (No. 186)
One atom of each set of equivalent atoms:
Sr 0.3333 0.6667 0.0000 x2
V 0.0000 0.0000 0.1048 x2
V 0.0000 0.0000 0.3994 x2
V 0.0065 0.5033 0.2534 x6
V 0.3333 0.6667 0.5049 x2
O 0.1516 0.3033 0.5029 x6
O 0.1710 0.3421 0.1714 x6
O 0.1722 0.3444 0.8338 x6
O 0.3333 0.6667 0.3433 x2
O 0.3333 0.6667 0.6677 x2

Starting from a PBE+U-relaxed structure, the PXRD pattern of Nb4Mo6I22O was simulated for CuKα.
Intensities are scaled so that the largest is 100.

Peak list (6 most intense, 2θ = 10–80°, by angle)
- d 8.754, 2θ = 10.10°, I = 100, hkl 0 1 1
- d 8.411, 2θ = 10.52°, I = 51, hkl 1 1 0
- d 7.597, 2θ = 11.65°, I = 90, hkl 1 0 -1
- d 3.630, 2θ = 24.52°, I = 95, hkl 1 3 0
- d 3.519, 2θ = 25.31°, I = 35, hkl 1 -1 3
- d 2.388, 2θ = 37.67°, I = 29, hkl 4 3 2

Structural model:
a = 11.214 Å, b = 11.245 Å, c = 12.397 Å
α = 80.42°, β = 80.37°, γ = 79.76°
Space group P-1 (No. 2)
One atom of each set of equivalent atoms:
Nb 0.078 0.336 0.441 x2
Nb 0.142 0.438 0.596 x2
Mo 0.332 0.060 0.163 x2
Mo 0.354 0.882 0.941 x2
Mo 0.422 0.189 0.880 x2
I 0.054 0.491 0.234 x2
I 0.102 0.191 0.653 x2
I 0.138 0.109 0.349 x2
I 0.176 0.688 0.530 x2
I 0.183 0.102 0.986 x2
I 0.193 0.760 0.874 x2
I 0.313 0.787 0.172 x2
I 0.324 0.415 0.738 x2
I 0.329 0.364 0.420 x2
I 0.429 0.303 0.073 x2
I 0.453 0.013 0.726 x2
O 0.000 0.500 0.500 x1

Starting from a PBE+U-relaxed structure, the PXRD pattern of Li6Mn3VP6O24 was simulated for CuKα.
Intensities are scaled so that the largest is 100.

Peak list (6 most intense, 2θ = 10–80°, by angle)
- d 4.367, 2θ = 20.34°, I = 52, hkl 1 1 2
- d 4.238, 2θ = 20.96°, I = 32, hkl 2 1 1
- d 3.802, 2θ = 23.40°, I = 39, hkl 0 1 2
- d 3.749, 2θ = 23.73°, I = 34, hkl 1 0 2
- d 3.717, 2θ = 23.94°, I = 31, hkl 0 2 1
- d 3.681, 2θ = 24.18°, I = 100, hkl 1 2 0

Structural model:
a = 8.481 Å, b = 8.539 Å, c = 8.744 Å
α = 61.30°, β = 62.29°, γ = 61.85°
Space group P1 (No. 1)
One atom of each set of equivalent atoms:
Li 0.000 0.000 0.000 x1
Li 0.083 0.504 0.890 x1
Li 0.363 0.145 0.724 x1
Li 0.501 0.883 0.104 x1
Li 0.689 0.327 0.486 x1
Li 0.851 0.655 0.270 x1
Mn 0.200 0.021 0.607 x1
Mn 0.701 0.510 0.100 x1
Mn 0.985 0.806 0.392 x1
V 0.489 0.308 0.893 x1
P 0.090 0.201 0.202 x1
P 0.301 0.707 0.000 x1
P 0.382 0.629 0.501 x1
P 0.592 0.112 0.300 x1
P 0.804 0.914 0.799 x1
P 0.903 0.412 0.693 x1
O 0.046 0.040 0.209 x1
O 0.091 0.243 0.680 x1
O 0.107 0.719 0.147 x1
O 0.128 0.157 0.372 x1
O 0.224 0.664 0.437 x1
O 0.247 0.239 0.015 x1
O 0.283 0.905 0.851 x1
O 0.335 0.783 0.572 x1
O 0.350 0.551 0.929 x1
O 0.408 0.429 0.654 x1
O 0.439 0.089 0.487 x1
O 0.459 0.670 0.069 x1
O 0.534 0.149 0.141 x1
O 0.574 0.618 0.345 x1
O 0.604 0.067 0.831 x1
O 0.648 0.276 0.273 x1
O 0.737 0.355 0.731 x1
O 0.766 0.927 0.301 x1
O 0.785 0.739 0.980 x1
O 0.848 0.883 0.625 x1
O 0.884 0.463 0.849 x1
O 0.912 0.577 0.508 x1
O 0.923 0.394 0.184 x1
O 0.958 0.966 0.794 x1

Starting from a PBE+U-relaxed structure, the PXRD pattern of Li9Mn2Co5O16 was simulated for CuKα.
Intensities are scaled so that the largest is 100.

Peak list (6 most intense, 2θ = 10–80°, by angle)
- d 4.818, 2θ = 18.41°, I = 100, hkl 0 1 -2
- d 2.599, 2θ = 34.50°, I = 19, hkl -1 1 2
- d 2.442, 2θ = 36.80°, I = 23, hkl 1 1 2
- d 2.180, 2θ = 41.41°, I = 33, hkl 1 0 -4
- d 2.024, 2θ = 44.78°, I = 51, hkl 1 0 4
- d 1.486, 2θ = 62.49°, I = 16, hkl 0 0 8

Structural model:
a = 2.973 Å, b = 8.090 Å, c = 11.921 Å
α = 90.63°, β = 94.20°, γ = 91.04°
Space group P1 (No. 1)
One atom of each set of equivalent atoms:
Li 0.000 0.000 0.000 x1
Li 0.001 0.013 0.494 x1
Li 0.008 0.493 0.247 x1
Li 0.491 0.243 0.379 x1
Li 0.495 0.247 0.124 x1
Li 0.499 0.753 0.374 x1
Li 0.500 0.750 0.875 x1
Li 0.508 0.245 0.618 x1
Li 0.996 0.496 0.755 x1
Mn 0.003 0.490 0.494 x1
Mn 0.508 0.753 0.623 x1
Co 0.001 0.500 0.000 x1
Co 0.002 0.002 0.751 x1
Co 0.500 0.750 0.124 x1
Co 0.503 0.250 0.875 x1
Co 0.995 0.009 0.252 x1
O 0.004 0.224 0.245 x1
O 0.026 0.737 0.005 x1
O 0.029 0.240 0.758 x1
O 0.034 0.739 0.503 x1
O 0.472 0.998 0.363 x1
O 0.474 0.511 0.121 x1
O 0.475 0.012 0.870 x1
O 0.477 0.498 0.388 x1
O 0.524 0.986 0.129 x1
O 0.526 0.489 0.880 x1
O 0.528 0.995 0.632 x1
O 0.529 0.506 0.609 x1
O 0.974 0.767 0.241 x1
O 0.976 0.263 0.993 x1
O 0.976 0.760 0.747 x1
O 0.994 0.265 0.500 x1

Starting from a PBE+U-relaxed structure, the PXRD pattern of Fe2O3 was simulated for CuKα.
Intensities are scaled so that the largest is 100.

Peak list (6 most intense, 2θ = 10–80°, by angle)
- d 2.657, 2θ = 33.74°, I = 100, hkl 1 2 1
- d 2.633, 2θ = 34.05°, I = 18, hkl 2 0 0
- d 2.518, 2θ = 35.65°, I = 16, hkl 0 0 2
- d 1.944, 2θ = 46.74°, I = 13, hkl 0 4 0
- d 1.820, 2θ = 50.13°, I = 18, hkl 2 0 2
- d 1.479, 2θ = 62.82°, I = 22, hkl 1 2 3

Structural model:
a = 5.265 Å, b = 7.774 Å, c = 5.036 Å
α = 90.00°, β = 90.00°, γ = 90.00°
Space group Pnma (No. 62)
One atom of each set of equivalent atoms:
Fe 0.000 0.000 0.000 x4
Fe 0.062 0.250 0.477 x4
O 0.082 0.750 0.153 x4
O 0.184 0.579 0.681 x8

Starting from a PBE+U-relaxed structure, the PXRD pattern of MgCo4O8 was simulated for CuKα.
Intensities are scaled so that the largest is 100.

Peak list (6 most intense, 2θ = 10–80°, by angle)
- d 4.752, 2θ = 18.67°, I = 100, hkl 1 1 1
- d 2.482, 2θ = 36.19°, I = 64, hkl 3 1 1
- d 2.376, 2θ = 37.86°, I = 16, hkl 2 2 2
- d 2.058, 2θ = 44.00°, I = 55, hkl 4 0 0
- d 1.584, 2θ = 58.24°, I = 27, hkl 5 1 1
- d 1.455, 2θ = 63.98°, I = 39, hkl 4 4 0

Structural model:
a = 8.231 Å, b = 8.231 Å, c = 8.231 Å
α = 90.00°, β = 90.00°, γ = 90.00°
Space group F-43m (No. 216)
One atom of each set of equivalent atoms:
Mg 0.000 0.000 0.000 x4
Co 0.123 0.123 0.623 x16
O 0.110 0.110 0.390 x16
O 0.139 0.139 0.861 x16